For Fe3As2O16, DFT lattice parameters and positions (GGA+U) gives the computed powder diffractogram in this record (Cu Kα (weighted mean of Kα1 and Kα2)).
Peak positions follow from Bragg's law for the DFT cell and can differ from measured ones.

Peak list (10 most intense, 2θ from 5° to 70°, sorted by position)
d (Å), 2theta, I/Imax, index
7.952, 11.13, 23, 0 0 1
5.852, 15.14, 100, 0 1 -1
5.170, 17.15, 23, 0 1 1
4.447, 19.97, 18, 1 0 -1
3.655, 24.36, 24, 1 0 1
3.266, 27.31, 29, 0 2 1
3.155, 28.28, 18, 1 -2 1
2.954, 30.25, 27, 1 1 1
2.711, 33.04, 16, -1 2 2
2.465, 36.45, 20, -2 1 1

Structure:
a b c (Å): 4.9622 7.9818 8.1705
angles (deg): 93.29 101.27 107.34
Atoms (fractional coordinates):
Fe 0.0000 0.0000 0.0000
Fe 0.0482 0.6533 0.4042
Fe 0.9518 0.3467 0.5958
As 0.3328 0.3511 0.3104
As 0.6672 0.6489 0.6896
O 0.0325 0.8370 0.2304
O 0.1648 0.2456 0.4581
O 0.2422 0.5371 0.2644
O 0.2665 0.2115 0.1313
O 0.2699 0.9006 0.3536
O 0.2860 0.5891 0.6157
O 0.3126 0.8601 0.9820
O 0.3246 0.9648 0.8682
O 0.6754 0.0352 0.1318
O 0.6874 0.1399 0.0180
O 0.7140 0.4109 0.3843
O 0.7301 0.0994 0.6464
O 0.7335 0.7885 0.8687
O 0.7578 0.4629 0.7356
O 0.8352 0.7544 0.5419
O 0.9675 0.1630 0.7696